No. 1
The following is a computed powder diffractogram of Sr3Cd2Sn. It was derived from a crystal structure in Alexandria, relaxed with GGA-PBE, using copper Kα.
No peak broadening, texture or thermal motion is included.

Structural model:
```
6
Lattice="2.8888 -8.7437 0.0000 2.8888 8.7437 0.0000 0.0000 0.0000 3.9683" Properties=species:S:1:pos:R:3 pbc="T T T"
Sr 0.0000 0.0000 0.0000
Sr 2.8888 2.8707 0.0000
Sr 2.8888 -2.8707 0.0000
Cd 2.8888 5.7584 1.9842
Cd 2.8888 -5.7584 1.9842
Sn 2.8888 0.0000 1.9842
```

Principal peaks in the range 10 to 90 degrees two-theta, most intense first:
d (Å)  Position (°2θ)  I_rel
2.853  31.36  100
2.915  30.68  26
2.889  30.96  26
1.661  55.31  20
1.671  54.96  20
2.052  44.14  19
1.294  73.17  13
1.426  65.44  12
1.636  56.24  9
1.640  56.07  9

***

No. 2
The following is a computed powder diffractogram of SrCd9Sn2. It was derived from a crystal structure in Alexandria, relaxed with GGA-PBE, using copper Kα.
No peak broadening, texture or thermal motion is included.

Structural model:
```
24
Lattice="-6.0029 6.0029 4.2753 6.0029 -6.0029 4.2753 6.0029 6.0029 -4.2753" Properties=species:S:1:pos:R:3 pbc="T T T"
Sr 6.0029 3.0015 1.0688
Sr 0.0000 3.0015 3.2065
Cd 4.5657 -0.5038 1.4145
Cd 7.4401 -0.5038 1.4145
Cd 6.0029 -3.0015 3.2065
Cd 2.4977 1.5642 0.7232
Cd 9.5082 1.5642 0.7232
Cd 4.5657 5.4991 -1.4145
Cd 1.4372 -0.5038 2.8608
Cd 2.4977 4.4387 0.7232
Cd 3.5053 -1.5642 4.9985
Cd 2.4977 7.5672 -0.7232
Cd 3.5053 1.5642 3.5521
Cd 4.5657 6.5067 1.4145
Cd 1.4372 0.5038 5.6898
Cd -3.5053 4.4387 3.5521
Cd 3.5053 4.4387 3.5521
Cd 0.0000 9.0044 1.0688
Cd -1.4372 6.5067 2.8608
Cd 1.4372 6.5067 2.8608
Sn 0.0000 0.0000 0.0000
Sn 3.0015 3.0015 -2.1376
Sn 3.0015 -3.0015 2.1376
Sn 0.0000 6.0029 0.0000
```

Principal peaks in the range 10 to 90 degrees two-theta, most intense first:
d (Å)  Position (°2θ)  I_rel
2.312  38.96  100
2.839  31.51  82
2.685  33.38  58
2.517  35.66  48
2.274  39.64  35
2.773  32.28  32
1.578  58.49  31
3.103  28.77  28
6.003  14.76  15
1.467  63.40  15

***

Question: What is the formula in the second record?
Answer: SrCd9Sn2